# Ho5Ge2Sb2
Calculated XRD peak list, Cu Kα, 1.54184 Å. Input: the PBE geometry in the Materials Project.
Intensities are scaled so that the largest is 100.

Top 10 peaks for 2θ from 10° to 80°, in order of rising 2θ:
| d_spacing | 2θ (°) | Rel. int. |
| --- | --- | --- |
| 3.528 | 25.2 | 45 |
| 2.892 | 30.9 | 88 |
| 2.792 | 32.1 | 53 |
| 2.727 | 32.8 | 97 |
| 2.654 | 33.8 | 60 |
| 2.576 | 34.8 | 100 |
| 2.467 | 36.4 | 72 |
| 2.460 | 36.5 | 73 |
| 2.295 | 39.3 | 37 |
| 1.584 | 58.2 | 31 |

Cell and atoms:
Unit cell a=8.510 b=8.510 c=7.912 alpha=90.00 beta=90.00 gamma=55.17
Atoms (fractional coordinates):
1 Ho 0.000 0.000 0.000
2 Ho 0.037 0.707 0.664
3 Ho 0.207 0.537 0.164
4 Ho 0.293 0.963 0.664
5 Ho 0.463 0.793 0.164
6 Ho 0.500 0.500 0.500
7 Ho 0.537 0.207 0.836
8 Ho 0.707 0.037 0.336
9 Ho 0.793 0.463 0.836
10 Ho 0.963 0.293 0.336
11 Ge 0.139 0.861 0.363
12 Ge 0.361 0.639 0.863
13 Ge 0.639 0.361 0.137
14 Ge 0.861 0.139 0.637
15 Sb 0.205 0.205 0.000
16 Sb 0.295 0.295 0.500
17 Sb 0.705 0.705 0.500
18 Sb 0.795 0.795 0.000